# 1
Starting from the GGA-PBE geometry in Alexandria, the powder X-ray diffraction pattern of AcLaSmDy3 was computed for Cu Ka.

The 10 most intense peaks (5 to 70 degrees two-theta), sorted by position:
25.98 deg, I = 18.0
29.42 deg, I = 81.5
29.52 deg, I = 23.4
30.23 deg, I = 34.3
31.14 deg, I = 62.4
32.04 deg, I = 100.0
34.26 deg, I = 41.8
43.96 deg, I = 30.2
54.36 deg, I = 19.0
55.97 deg, I = 20.9

Structure:
```
AcLaSmDy3
1.0
10.2903 -2.8723 0.0000
10.2903 2.8723 0.0000
-0.0033 0.0000 7.2271
Ac La Sm Dy
2 2 2 6
Cartesian
3.0042 0.0000 3.3697
17.5730 0.0000 3.8574
9.1618 0.0000 5.6122
11.4154 0.0000 1.6149
3.0916 0.0000 0.1688
17.4856 0.0000 7.0583
0.4316 0.0000 5.5420
5.7736 0.0000 5.4397
6.8109 0.0000 1.7039
13.7663 0.0000 5.5232
14.8036 0.0000 1.7873
20.1456 0.0000 1.6851
```

***

# 2
Starting from the GGA-PBE geometry in Alexandria, the powder X-ray diffraction pattern of Nb14PdPt was computed for Cu Ka.

The 10 most intense peaks (5 to 70 degrees two-theta), sorted by position:
9.68 deg, I = 2.9
16.29 deg, I = 0.8
18.98 deg, I = 1.6
21.33 deg, I = 0.6
38.50 deg, I = 100.0
39.44 deg, I = 18.6
54.93 deg, I = 7.0
56.27 deg, I = 12.9
69.05 deg, I = 6.9
69.64 deg, I = 20.1

Structure:
```
Nb14PdPt
1.0
3.3433 -4.6803 0.0000
3.3433 4.6803 0.0000
0.0000 0.0000 9.1385
Nb Pd Pt
14 1 1
Cartesian
0.0000 0.0000 0.0000
1.6717 2.3401 0.0000
1.6717 2.3401 4.5692
1.6744 0.0000 2.3028
1.6744 0.0000 6.8356
3.3433 2.3381 2.3341
3.3433 2.3381 6.8044
1.6717 -2.3401 0.0000
1.6717 -2.3401 4.5692
3.3433 0.0000 0.0000
3.3433 -2.3381 2.3341
3.3433 -2.3381 6.8044
5.0122 0.0000 2.3028
5.0122 0.0000 6.8356
0.0000 0.0000 4.5692
3.3433 0.0000 4.5692
```

***

# 3
Starting from the GGA-PBE geometry in Alexandria, the powder X-ray diffraction pattern of Dy2Y15Tm2 was computed for Cu Ka.

The 10 most intense peaks (5 to 70 degrees two-theta), sorted by position:
27.25 deg, I = 36.8
27.64 deg, I = 56.6
30.19 deg, I = 21.3
31.23 deg, I = 85.7
31.57 deg, I = 100.0
32.02 deg, I = 80.8
35.52 deg, I = 41.8
54.50 deg, I = 21.9
56.58 deg, I = 27.0
57.07 deg, I = 29.5

Structure:
```
Dy2Y15Tm2
1.0
5.5905 3.2277 5.9201
-5.5905 3.2277 5.9201
0.0000 -6.4554 5.9201
Dy Y Tm
2 15 2
Cartesian
0.0000 0.0000 3.2083
0.0000 0.0000 14.5520
-2.7953 -1.6138 5.9201
0.0000 -3.3567 5.3679
-2.9070 1.6783 5.3679
-1.6669 -2.8872 8.8802
-3.3338 0.0000 8.8802
-2.9070 -1.6783 12.3925
-2.7952 1.6138 11.8402
1.6669 -2.8872 8.8802
0.0000 3.2277 5.9201
-1.6669 2.8872 8.8802
2.9070 1.6783 5.3679
3.3338 0.0000 8.8802
1.6669 2.8872 8.8802
2.9070 -1.6783 12.3925
0.0000 3.3567 12.3925
0.0000 0.0000 7.1826
0.0000 0.0000 10.5777
```

***

# 4
Starting from the GGA-PBE geometry in Alexandria, the powder X-ray diffraction pattern of Ce5PuRu2 was computed for Cu Ka.

The 10 most intense peaks (5 to 70 degrees two-theta), sorted by position:
29.35 deg, I = 34.9
32.49 deg, I = 29.1
34.75 deg, I = 80.2
35.17 deg, I = 21.8
36.41 deg, I = 100.0
37.45 deg, I = 70.5
37.57 deg, I = 20.7
38.30 deg, I = 60.1
55.42 deg, I = 17.9
67.28 deg, I = 18.1

Structure:
```
Ce5PuRu2
1.0
7.6543 -3.9712 0.0000
7.6543 3.9712 0.0000
-0.0170 0.0000 6.0302
Ce Pu Ru
10 2 4
Cartesian
6.0386 2.0638 1.5011
7.6416 2.8544 4.5226
4.8843 1.1889 4.5165
9.2616 2.0638 1.5139
4.8929 -1.1889 1.5014
10.3988 1.1889 4.5288
6.0300 -2.0638 4.5162
10.4073 -1.1889 1.5137
7.6501 -2.8544 1.5075
9.2531 -2.0638 4.5290
7.6543 0.0000 0.0000
7.6458 0.0000 3.0151
2.7868 0.0014 3.0227
2.7953 -0.0014 0.0076
12.4963 0.0014 6.0226
12.5048 -0.0014 3.0075
```

***

# 5
Starting from the GGA-PBE geometry in Alexandria, the powder X-ray diffraction pattern of TiTl2I5Br was computed for Cu Ka.

The 10 most intense peaks (5 to 70 degrees two-theta), sorted by position:
22.01 deg, I = 22.2
27.02 deg, I = 100.0
31.21 deg, I = 50.4
31.46 deg, I = 10.6
35.24 deg, I = 14.0
38.69 deg, I = 11.5
44.73 deg, I = 18.4
44.91 deg, I = 15.5
47.78 deg, I = 11.8
53.04 deg, I = 30.5

Structure:
```
TiTl2I5Br
1.0
-4.0523 4.0523 5.6864
4.0523 -4.0523 5.6864
4.0523 4.0523 -5.6864
Ti Tl I Br
1 2 5 1
Cartesian
0.0000 0.0000 0.0000
4.0523 0.0000 2.0894
0.0000 4.0523 2.0894
0.0000 0.0000 2.7405
1.9732 1.9732 0.0468
2.0791 -2.0791 5.7331
-2.0791 2.0791 5.7331
2.0791 2.0791 5.7331
0.0000 0.0000 8.9092
```

***

# 6
Starting from the GGA-PBE geometry in Alexandria, the powder X-ray diffraction pattern of HoEr2Se4 was computed for Cu Ka.

The 10 most intense peaks (5 to 70 degrees two-theta), sorted by position:
13.21 deg, I = 43.0
25.24 deg, I = 100.0
28.48 deg, I = 78.7
28.81 deg, I = 48.6
36.52 deg, I = 36.8
36.79 deg, I = 96.2
37.23 deg, I = 83.6
37.40 deg, I = 47.0
44.44 deg, I = 83.7
44.57 deg, I = 43.6

Structure:
```
HoEr2Se4
1.0
15.0163 0.0000 0.0000
0.0000 4.0655 0.0000
-3.1853 0.0000 6.3135
Ho Er Se
2 4 8
Cartesian
0.0000 0.0000 0.0000
7.5081 2.0328 0.0000
1.2269 2.0328 4.5775
3.0960 0.0000 1.7360
8.7350 0.0000 4.5775
10.6041 2.0328 1.7360
0.4345 0.0000 2.8144
-1.1232 2.0328 6.2304
5.4461 0.0000 0.0831
3.8884 2.0328 3.4991
7.9426 2.0328 2.8144
6.3849 0.0000 6.2304
12.9542 2.0328 0.0831
11.3965 0.0000 3.4991
```